This entry pairs a crystal structure of LiAcEr2Te4 with its theoretical PXRD pattern. Radiation: copper Kα. Structure: the GGA-PBE geometry in Alexandria.

Main lines, by angle (5 to 70 degrees two-theta):
2θ/deg	intensity
21.44	56
26.60	42
27.85	79
29.72	100
36.64	49
38.70	28
40.96	74
59.31	26

Structure:
a b c (Å): 7.673 7.673 15.061
angles (deg): 90.00 90.00 146.59
Sites, in units of the cell vectors:
Li (0.144, 0.856, 0.750)
Li (0.856, 0.144, 0.250)
Ac (0.128, 0.872, 0.250)
Ac (0.872, 0.128, 0.750)
Er (0.371, 0.629, 0.061)
Er (0.371, 0.629, 0.439)
Er (0.629, 0.371, 0.561)
Er (0.629, 0.371, 0.939)
Te (0.000, 0.000, 0.000)
Te (0.000, 0.000, 0.500)
Te (0.269, 0.731, 0.616)
Te (0.269, 0.731, 0.884)
Te (0.458, 0.542, 0.250)
Te (0.542, 0.458, 0.750)
Te (0.731, 0.269, 0.116)
Te (0.731, 0.269, 0.384)